Y3Sb5O12: theoretical powder diffractogram (CuKα), based on a DFT-relaxed cell (PBE, the Materials Project).
No peak broadening, texture or thermal motion is included.

The 10 most intense peaks (2θ from 15° to 90°), in order of rising 2θ:
two_theta	intensity
19.96	6
25.85	6
28.37	100
32.87	32
47.18	43
55.97	35
58.70	7
76.15	11
78.50	9
87.75	8

Structure:
a b c (Å): 9.4377 9.4377 9.4377
angles (deg): 109.47 109.47 109.47
Atoms (fractional coordinates):
Y  0.2500  0.5000  0.7500
Y  0.2500  0.7500  0.5000
Y  0.5000  0.2500  0.7500
Y  0.5000  0.7500  0.2500
Y  0.7500  0.2500  0.5000
Y  0.7500  0.5000  0.2500
Sb  0.0000  0.0000  0.4848
Sb  0.0000  0.2832  0.2832
Sb  0.0000  0.4848  0.0000
Sb  0.0000  0.7168  0.7168
Sb  0.2832  0.0000  0.2832
Sb  0.2832  0.2832  0.0000
Sb  0.4848  0.0000  0.0000
Sb  0.5152  0.5152  0.5152
Sb  0.7168  0.0000  0.7168
Sb  0.7168  0.7168  0.0000
O  0.0000  0.2965  0.4974
O  0.0000  0.4974  0.2965
O  0.0000  0.5212  0.7996
O  0.0000  0.7996  0.5212
O  0.2004  0.2004  0.7216
O  0.2004  0.7216  0.2004
O  0.2009  0.7035  0.7035
O  0.2784  0.4788  0.4788
O  0.2965  0.0000  0.4974
O  0.2965  0.4974  0.0000
O  0.4788  0.2784  0.4788
O  0.4788  0.4788  0.2784
O  0.4974  0.0000  0.2965
O  0.4974  0.2965  0.0000
O  0.5026  0.5026  0.7991
O  0.5026  0.7991  0.5026
O  0.5212  0.0000  0.7996
O  0.5212  0.7996  0.0000
O  0.7035  0.2009  0.7035
O  0.7035  0.7035  0.2009
O  0.7216  0.2004  0.2004
O  0.7991  0.5026  0.5026
O  0.7996  0.0000  0.5212
O  0.7996  0.5212  0.0000

Na2TbCuCl6: theoretical powder diffractogram (CuKα), based on a DFT-relaxed cell (PBE, the Materials Project).
No peak broadening, texture or thermal motion is included.

The 10 most intense peaks (2θ from 15° to 90°), in order of rising 2θ:
two_theta	intensity
17.26	100
24.50	54
28.81	14
34.92	64
39.20	47
43.12	25
50.22	42
53.50	23
62.62	14
84.28	17

Structure:
a b c (Å): 7.2671 7.2671 7.2671
angles (deg): 60.00 60.00 60.00
Atoms (fractional coordinates):
Na  0.2500  0.2500  0.2500
Na  0.7500  0.7500  0.7500
Tb  0.0000  0.0000  0.0000
Cu  0.5000  0.5000  0.5000
Cl  0.2559  0.2559  0.7441
Cl  0.2559  0.7441  0.2559
Cl  0.2559  0.7441  0.7441
Cl  0.7441  0.2559  0.2559
Cl  0.7441  0.2559  0.7441
Cl  0.7441  0.7441  0.2559

CaSiPt: theoretical powder diffractogram (CuKα), based on a DFT-relaxed cell (PBE, the Materials Project).
No peak broadening, texture or thermal motion is included.

The 10 most intense peaks (2θ from 15° to 90°), in order of rising 2θ:
two_theta	intensity
23.75	31
24.82	26
26.85	100
27.54	63
34.46	39
34.62	56
39.68	38
41.30	36
42.70	51
50.23	37

Structure:
a b c (Å): 7.1741 4.3725 7.2600
angles (deg): 90.00 90.00 90.00
Atoms (fractional coordinates):
Ca  0.0057  0.2500  0.1890
Ca  0.4943  0.7500  0.6890
Ca  0.5057  0.2500  0.3110
Ca  0.9943  0.7500  0.8110
Si  0.1739  0.2500  0.5819
Si  0.3261  0.7500  0.0819
Si  0.6739  0.2500  0.9181
Si  0.8261  0.7500  0.4181
Pt  0.1907  0.7500  0.4030
Pt  0.3093  0.2500  0.9030
Pt  0.6907  0.7500  0.0970
Pt  0.8093  0.2500  0.5970

NaC2NO3: theoretical powder diffractogram (CuKα), based on a DFT-relaxed cell (PBE, the Materials Project).
No peak broadening, texture or thermal motion is included.

The 10 most intense peaks (2θ from 15° to 90°), in order of rising 2θ:
two_theta	intensity
16.93	73
28.48	73
29.98	100
30.43	88
31.48	31
33.37	61
41.18	13
44.75	21
46.48	23
50.97	17

Structure:
a b c (Å): 3.5879 5.3987 21.6158
angles (deg): 90.00 96.30 90.00
Atoms (fractional coordinates):
Na  0.1909  0.2010  0.2023
Na  0.1909  0.2990  0.7023
Na  0.8091  0.7010  0.2977
Na  0.8091  0.7990  0.7977
C  0.2608  0.5029  0.0764
C  0.2608  0.9971  0.5764
C  0.3862  0.2093  0.3393
C  0.3862  0.2907  0.8393
C  0.6138  0.7093  0.1607
C  0.6138  0.7907  0.6607
C  0.7392  0.0029  0.4236
C  0.7392  0.4971  0.9236
N  0.4160  0.6882  0.0992
N  0.4160  0.8118  0.5992
N  0.5840  0.1882  0.4008
N  0.5840  0.3118  0.9008
O  0.0981  0.1674  0.5524
O  0.0981  0.3326  0.0524
O  0.3063  0.0096  0.3095
O  0.3063  0.4904  0.8095
O  0.3138  0.0744  0.8200
O  0.3138  0.4256  0.3200
O  0.6862  0.5744  0.6800
O  0.6862  0.9256  0.1800
O  0.6937  0.5096  0.1905
O  0.6937  0.9904  0.6905
O  0.9019  0.6674  0.9476
O  0.9019  0.8326  0.4476

Te: theoretical powder diffractogram (CuKα), based on a DFT-relaxed cell (PBE, the Materials Project).
No peak broadening, texture or thermal motion is included.

The 10 most intense peaks (2θ from 15° to 90°), in order of rising 2θ:
two_theta	intensity
27.93	100
37.90	14
38.53	29
41.25	21
41.89	11
45.31	9
51.09	12
57.73	12
63.38	13
67.22	9

Structure:
a b c (Å): 7.6206 4.3129 6.0046
angles (deg): 90.00 90.79 90.00
Atoms (fractional coordinates):
Te  0.0000  0.0000  0.0000
Te  0.1868  0.5000  0.6623
Te  0.3132  0.0000  0.3377
Te  0.5000  0.5000  0.0000
Te  0.6868  0.0000  0.6623
Te  0.8132  0.5000  0.3377

Tb3TlC: theoretical powder diffractogram (CuKα), based on a DFT-relaxed cell (PBE, the Materials Project).
No peak broadening, texture or thermal motion is included.

The 10 most intense peaks (2θ from 15° to 90°), in order of rising 2θ:
two_theta	intensity
15.71	100
27.39	25
31.73	73
35.59	56
45.48	54
48.41	30
56.52	19
68.60	17
75.36	25
84.07	19

Structure:
a b c (Å): 5.6405 5.6405 5.6405
angles (deg): 90.00 90.00 90.00
Atoms (fractional coordinates):
Tb  0.0000  0.0000  0.5000
Tb  0.0000  0.5000  0.0000
Tb  0.5000  0.0000  0.0000
Tl  0.0000  0.0000  0.0000
C  0.5000  0.5000  0.5000

AsF3: theoretical powder diffractogram (CuKα), based on a DFT-relaxed cell (PBE, the Materials Project).
No peak broadening, texture or thermal motion is included.

The 10 most intense peaks (2θ from 15° to 90°), in order of rising 2θ:
two_theta	intensity
23.89	100
25.02	20
32.46	6
34.82	8
41.37	7
41.60	7
41.95	14
43.38	12
48.95	5
66.24	5

Structure:
a b c (Å): 7.1179 5.3799 7.4693
angles (deg): 90.00 90.00 90.00
Atoms (fractional coordinates):
As  0.2156  0.0434  0.0000
As  0.2844  0.5434  0.5000
As  0.7156  0.4566  0.0000
As  0.7844  0.9566  0.5000
F  0.0646  0.4099  0.4429
F  0.1795  0.8067  0.6051
F  0.1939  0.8767  0.2047
F  0.3061  0.3767  0.7047
F  0.3205  0.3067  0.1051
F  0.4354  0.9099  0.9429
F  0.5646  0.0901  0.4429
F  0.6795  0.6933  0.6051
F  0.6939  0.6233  0.2047
F  0.8061  0.1233  0.7047
F  0.8205  0.1933  0.1051
F  0.9354  0.5901  0.9429

Cu2Te2Cl2O5: theoretical powder diffractogram (CuKα), based on a DFT-relaxed cell (PBE, the Materials Project).
No peak broadening, texture or thermal motion is included.

The 10 most intense peaks (2θ from 15° to 90°), in order of rising 2θ:
two_theta	intensity
21.35	25
25.70	100
29.31	25
30.25	30
32.43	41
35.64	20
37.54	27
38.30	23
50.60	19
62.84	16

Structure:
a b c (Å): 7.7524 7.7524 6.3919
angles (deg): 90.00 90.00 90.00
Atoms (fractional coordinates):
Cu  0.0444  0.7679  0.3447
Cu  0.2321  0.0444  0.6553
Cu  0.7679  0.9556  0.6553
Cu  0.9556  0.2321  0.3447
Te  0.1469  0.6735  0.8616
Te  0.3265  0.1469  0.1384
Te  0.6735  0.8531  0.1384
Te  0.8531  0.3265  0.8616
Cl  0.2751  0.5967  0.3046
Cl  0.4033  0.2751  0.6954
Cl  0.5967  0.7249  0.6954
Cl  0.7249  0.4033  0.3046
O  0.0000  0.5000  0.7224
O  0.0322  0.2699  0.0560
O  0.0861  0.8318  0.6391
O  0.1682  0.0861  0.3609
O  0.2699  0.9678  0.9440
O  0.5000  0.0000  0.2776
O  0.7301  0.0322  0.9440
O  0.8318  0.9139  0.3609
O  0.9139  0.1682  0.6391
O  0.9678  0.7301  0.0560